Starting from a GGA-PBE-relaxed structure, the powder XRD pattern of Sc2BeZn was calculated for Cu Kα (λ = 1.5418 Å).

Structure:
a = 6.508 Å, b = 6.508 Å, c = 6.508 Å
α = 90.00°, β = 90.00°, γ = 90.00°
Space group F-43m (No. 216)
Unique sites:
Sc (0.000, 0.000, 0.000)
Sc (0.250, 0.250, 0.250)
Be (0.250, 0.250, 0.750)
Zn (0.000, 0.000, 0.500)

Top 6 peaks for 2θ = 15–90°, by intensity:
(hkl), Position (°2θ), I (rel.)
2 2 0, 39.2, 100
4 2 2, 70.9, 30
2 0 0, 27.4, 20
1 1 1, 23.7, 20
4 0 0, 56.6, 16
3 1 1, 46.3, 10